Simulated powder XRD pattern
Compound: Ce8Tl3Sn4
Radiation: a wavelength of 1.5418 Å
Structure: a crystal structure in Alexandria, relaxed with PBE
Kinematic intensities with the Lorentz-polarization factor, no thermal factor.

```
data_Ce8Tl3Sn4
_chemical_formula_sum 'Ce16 Tl6 Sn8'
_space_group_name_H-M_alt 'C 1 2/m 1'
_space_group_IT_number 12
_cell_length_a 12.879
_cell_length_b 12.751
_cell_length_c 7.239
_cell_angle_alpha 90.00
_cell_angle_beta 124.06
_cell_angle_gamma 90.00
loop_
_space_group_symop_operation_xyz
'x,y,z'
'-x,-y,-z'
'-x,y,-z'
'x,-y,z'
'x+1/2,y+1/2,z'
'-x+1/2,-y+1/2,-z'
'-x+1/2,y+1/2,-z'
'x+1/2,-y+1/2,z'
loop_
_atom_site_label
_atom_site_type_symbol
_atom_site_fract_x
_atom_site_fract_y
_atom_site_fract_z
_atom_site_occupancy
Ce1 Ce 0.000 0.237 0.000 1
Ce2 Ce 0.000 0.248 0.500 1
Ce3 Ce 0.248 0.000 0.995 1
Ce4 Ce 0.250 0.000 0.508 1
Tl1 Tl 0.000 0.500 0.500 1
Tl2 Tl 0.250 0.250 0.000 1
Sn1 Sn 0.000 0.000 0.500 1
Sn2 Sn 0.000 0.500 0.000 1
Sn3 Sn 0.250 0.250 0.500 1
```

Main lines, low angle first (2θ from 5° to 70°):
2theta	I_rel	index
27.99	60	0 4 0
29.83	100	0 0 2
33.60	39	4 0 0
41.36	83	0 4 2
44.28	34	4 4 0
50.43	12	4 0 -4
58.66	15	4 4 -4
65.34	11	4 4 2
65.45	11	8 4 -2
66.45	20	0 8 2